Diffraction record for K3Cu2AgCl8. The XRD peak list is theoretical, not measured: it uses a cell relaxed with GGA-PBE and CuKα.

```
data_K3Cu2AgCl8
_chemical_formula_sum 'K3 Cu2 Ag1 Cl8'
_cell_length_a 7.0843
_cell_length_b 7.0843
_cell_length_c 8.9883
_cell_angle_alpha 90.00
_cell_angle_beta 90.00
_cell_angle_gamma 120.00
_symmetry_space_group_name_H-M 'P -3 m 1'
_symmetry_Int_Tables_number 164
_symmetry_space_group_name_Hall '-P 3 2"'
loop_
_atom_site_label
_atom_site_type_symbol
_atom_site_fract_x
_atom_site_fract_y
_atom_site_fract_z
K1 K 0.0000 0.0000 0.0000
K2 K 0.3333 0.6667 0.6178
Cu1 Cu 0.3333 0.6667 0.1962
Ag1 Ag 0.0000 0.0000 0.5000
Cl1 Cl 0.1691 0.3382 0.3219
Cl2 Cl 0.3333 0.6667 0.9545
```

Principal peaks in the range 15° ≤ 2θ ≤ 90°, by intensity:
| 2θ/deg | d [Å] | Rel. int. |
| --- | --- | --- |
| 25.1 | 3.542 | 100 |
| 17.5 | 5.067 | 81 |
| 35.4 | 2.534 | 70 |
| 24.6 | 3.626 | 40 |
| 51.6 | 1.771 | 37 |
| 50.3 | 1.813 | 28 |
| 33.3 | 2.692 | 23 |
| 44.3 | 2.045 | 20 |
| 40.2 | 2.245 | 20 |
| 32.2 | 2.782 | 18 |



Diffraction record for K3GeAs2. The XRD peak list is theoretical, not measured: it uses a cell relaxed with GGA-PBE and CuKα.

```
data_K3GeAs2
_chemical_formula_sum 'K12 Ge4 As8'
_cell_length_a 7.5177
_cell_length_b 14.4863
_cell_length_c 9.0870
_cell_angle_alpha 90.00
_cell_angle_beta 90.00
_cell_angle_gamma 90.00
_symmetry_space_group_name_H-M 'I b a m'
_symmetry_Int_Tables_number 72
_symmetry_space_group_name_Hall '-I 2 2c'
loop_
_atom_site_label
_atom_site_type_symbol
_atom_site_fract_x
_atom_site_fract_y
_atom_site_fract_z
K1 K 0.0000 0.0000 0.2500
K2 K 0.0000 0.2816 0.2500
Ge1 Ge 0.0000 0.5000 0.0000
As1 As 0.2324 0.3922 0.0000
```

Principal peaks in the range 15° ≤ 2θ ≤ 90°, by intensity:
| 2θ/deg | d [Å] | Rel. int. |
| --- | --- | --- |
| 19.6 | 4.526 | 100 |
| 34.4 | 2.608 | 46 |
| 29.5 | 3.029 | 35 |
| 23.7 | 3.756 | 34 |
| 23.1 | 3.849 | 28 |
| 30.9 | 2.896 | 25 |
| 53.5 | 1.713 | 24 |
| 34.2 | 2.619 | 22 |
| 39.7 | 2.272 | 19 |
| 31.6 | 2.832 | 16 |



Diffraction record for KCaScO3. The XRD peak list is theoretical, not measured: it uses a cell relaxed with GGA-PBE and CuKα.

```
data_KCaScO3
_chemical_formula_sum 'K2 Ca2 Sc2 O6'
_cell_length_a 6.0935
_cell_length_b 3.6138
_cell_length_c 8.5447
_cell_angle_alpha 90.00
_cell_angle_beta 103.12
_cell_angle_gamma 90.00
_symmetry_space_group_name_H-M 'P 1 21/m 1'
_symmetry_Int_Tables_number 11
loop_
_symmetry_equiv_pos_as_xyz
'x,y,z'
'-x,-y,-z'
'-x,y+1/2,-z'
'x,-y+1/2,z'
loop_
_atom_site_label
_atom_site_type_symbol
_atom_site_fract_x
_atom_site_fract_y
_atom_site_fract_z
K1 K 0.1368 0.2500 0.1818
Ca1 Ca 0.2550 0.7500 0.5315
Sc1 Sc 0.3734 0.2500 0.8440
O1 O 0.0837 0.2500 0.6619
O2 O 0.3214 0.7500 0.9480
O3 O 0.4644 0.7500 0.3344
```

Principal peaks in the range 15° ≤ 2θ ≤ 90°, by intensity:
| 2θ/deg | d [Å] | Rel. int. |
| --- | --- | --- |
| 34.1 | 2.632 | 100 |
| 32.1 | 2.789 | 78 |
| 41.2 | 2.192 | 38 |
| 50.5 | 1.807 | 26 |
| 29.6 | 3.020 | 26 |
| 32.3 | 2.774 | 20 |
| 52.8 | 1.735 | 16 |
| 56.2 | 1.638 | 16 |
| 16.3 | 5.452 | 16 |
| 47.3 | 1.921 | 16 |



Diffraction record for Pu3Mg3TcN8. The XRD peak list is theoretical, not measured: it uses a cell relaxed with GGA-PBE and CuKα.

```
data_Pu3Mg3TcN8
_chemical_formula_sum 'Pu9 Mg9 Tc3 N24'
_cell_length_a 6.5951
_cell_length_b 6.5951
_cell_length_c 15.4683
_cell_angle_alpha 90.00
_cell_angle_beta 90.00
_cell_angle_gamma 120.00
_symmetry_space_group_name_H-M 'R -3 m'
_symmetry_Int_Tables_number 166
_symmetry_space_group_name_Hall '-R 3 2"'
loop_
_atom_site_label
_atom_site_type_symbol
_atom_site_fract_x
_atom_site_fract_y
_atom_site_fract_z
Pu1 Pu 0.0000 0.5000 0.0000
Mg1 Mg 0.0000 0.5000 0.5000
Tc1 Tc 0.0000 0.0000 0.0000
N1 N 0.0000 0.0000 0.2486
N2 N 0.0240 0.5120 0.7405
```

Principal peaks in the range 15° ≤ 2θ ≤ 90°, by intensity:
| 2θ/deg | d [Å] | Rel. int. |
| --- | --- | --- |
| 17.2 | 5.156 | 100 |
| 39.2 | 2.297 | 69 |
| 33.4 | 2.679 | 66 |
| 31.9 | 2.808 | 65 |
| 43.1 | 2.098 | 28 |
| 58.8 | 1.570 | 25 |
| 55.8 | 1.649 | 24 |
| 57.6 | 1.601 | 22 |
| 34.8 | 2.578 | 20 |
| 67.4 | 1.389 | 20 |



Diffraction record for CePm8N6. The XRD peak list is theoretical, not measured: it uses a cell relaxed with GGA-PBE and CuKα.

```
data_CePm8N6
_chemical_formula_sum 'Ce3 Pm24 N18'
_cell_length_a 6.2709
_cell_length_b 6.2709
_cell_length_c 27.5416
_cell_angle_alpha 90.00
_cell_angle_beta 90.00
_cell_angle_gamma 120.00
_symmetry_space_group_name_H-M 'R -3'
_symmetry_Int_Tables_number 148
_symmetry_space_group_name_Hall '-R 3'
loop_
_atom_site_label
_atom_site_type_symbol
_atom_site_fract_x
_atom_site_fract_y
_atom_site_fract_z
Ce1 Ce 0.0000 0.0000 0.0000
Pm1 Pm 0.0000 0.0000 0.3334
Pm2 Pm 0.9999 0.3362 0.1020
N1 N 0.9999 0.3264 0.9442
```

Principal peaks in the range 15° ≤ 2θ ≤ 90°, by intensity:
| 2θ/deg | d [Å] | Rel. int. |
| --- | --- | --- |
| 30.1 | 2.967 | 100 |
| 34.6 | 2.589 | 87 |
| 50.4 | 1.810 | 31 |
| 29.2 | 3.060 | 30 |
| 49.2 | 1.852 | 27 |
| 59.3 | 1.558 | 25 |
| 58.2 | 1.584 | 15 |
| 62.6 | 1.484 | 15 |
| 59.9 | 1.545 | 15 |
| 84.4 | 1.147 | 13 |